This entry pairs a crystal structure of Ac2GeN3 with its theoretical powder XRD pattern. Radiation: Cu Kα X-rays. Structure: a PBE-relaxed structure.
Neutral-atom scattering factors, no anomalous dispersion.

Main lines, low angle first (2θ from 10° to 90°):
- 3.966 Å, 22.42°, I 16.1
- 3.232 Å, 27.60°, I 54.5
- 3.118 Å, 28.63°, I 66.3
- 2.861 Å, 31.26°, I 100.0
- 2.846 Å, 31.44°, I 19.1
- 2.665 Å, 33.62°, I 25.7
- 2.646 Å, 33.87°, I 11.9
- 2.294 Å, 39.27°, I 22.5
- 2.017 Å, 44.93°, I 11.7
- 1.790 Å, 51.03°, I 18.7
- 1.683 Å, 54.52°, I 16.8
- 1.499 Å, 61.89°, I 11.2

Atomic structure:
Unit cell a=6.508 b=6.508 c=12.471 alpha=90.00 beta=90.00 gamma=127.85
Fractional coordinates of all 24 atoms:
Ac  0.044  0.956  0.855
Ac  0.144  0.856  0.439
Ac  0.356  0.644  0.939
Ac  0.456  0.544  0.355
Ac  0.544  0.456  0.645
Ac  0.644  0.356  0.061
Ac  0.856  0.144  0.561
Ac  0.956  0.044  0.145
Ge  0.237  0.763  0.173
Ge  0.263  0.737  0.673
Ge  0.737  0.263  0.327
Ge  0.763  0.237  0.827
N  0.084  0.416  0.750
N  0.103  0.897  0.654
N  0.156  0.844  0.039
N  0.344  0.656  0.539
N  0.397  0.603  0.154
N  0.416  0.084  0.250
N  0.584  0.916  0.750
N  0.603  0.397  0.846
N  0.656  0.344  0.461
N  0.844  0.156  0.961
N  0.897  0.103  0.346
N  0.916  0.584  0.250


This entry pairs a crystal structure of Ac8GeN4 with its theoretical powder XRD pattern. Radiation: Cu Kα X-rays. Structure: a PBE-relaxed structure.
Neutral-atom scattering factors, no anomalous dispersion.

Main lines, low angle first (2θ from 10° to 90°):
- 7.179 Å, 12.33°, I 16.3
- 3.589 Å, 24.81°, I 31.9
- 3.257 Å, 27.39°, I 100.0
- 2.885 Å, 31.00°, I 91.3
- 2.286 Å, 39.41°, I 15.0
- 2.115 Å, 42.76°, I 26.0
- 1.973 Å, 46.01°, I 35.0
- 1.729 Å, 52.97°, I 25.9
- 1.687 Å, 54.38°, I 15.9
- 1.628 Å, 56.51°, I 17.0
- 1.522 Å, 60.86°, I 14.4
- 1.256 Å, 75.74°, I 14.4

Atomic structure:
Unit cell a=8.502 b=8.502 c=8.502 alpha=55.30 beta=55.30 gamma=55.30
Fractional coordinates of all 13 atoms:
Ac  0.234  0.234  0.234
Ac  0.242  0.734  0.734
Ac  0.266  0.266  0.758
Ac  0.266  0.758  0.266
Ac  0.734  0.242  0.734
Ac  0.734  0.734  0.242
Ac  0.758  0.266  0.266
Ac  0.766  0.766  0.766
Ge  0.000  0.000  0.000
N  0.000  0.000  0.500
N  0.000  0.500  0.000
N  0.500  0.000  0.000
N  0.500  0.500  0.500